For Pr2GeAsRh6, DFT lattice parameters and positions (PBE) gives the theoretical powder XRD pattern in this record (Cu Kα).
Neutral-atom scattering factors, no anomalous dispersion.

Top 8 peaks for 2θ from 15° to 90°, most intense first:
2θ = 38.88°, intensity 100, hkl 2 2 0; 2θ = 42.64°, intensity 90, hkl 1 2 3; 2θ = 39.72°, intensity 88, hkl 2 0 2; 2θ = 41.47°, intensity 81, hkl 0 4 0; 2θ = 28.40°, intensity 79, hkl 1 2 1; 2θ = 30.08°, intensity 65, hkl 0 2 2; 2θ = 58.77°, intensity 54, hkl 2 4 2; 2θ = 34.35°, intensity 49, hkl 1 2 2

Structural model:
```
data_Pr2GeAsRh6
_chemical_formula_sum 'Pr4 Ge2 As2 Rh12'
_cell_length_a 5.4711
_cell_length_b 8.7093
_cell_length_c 8.1275
_cell_angle_alpha 90.00
_cell_angle_beta 90.00
_cell_angle_gamma 90.00
_symmetry_space_group_name_H-M 'P m m n'
_symmetry_Int_Tables_number 59
loop_
_symmetry_equiv_pos_as_xyz
'x,y,z'
'-x,-y,-z'
'-x+1/2,-y+1/2,z'
'x+1/2,y+1/2,-z'
'x+1/2,-y,-z'
'-x+1/2,y,z'
'-x,y+1/2,-z'
'x,-y+1/2,z'
loop_
_atom_site_label
_atom_site_fract_x
_atom_site_fract_y
_atom_site_fract_z
_atom_site_occupancy
Pr1 0.2500 0.0079 0.2150 1
Ge1 0.2500 0.7500 0.7606 1
As1 0.2500 0.2500 0.7476 1
Rh1 0.0020 0.7500 0.5052 1
Rh2 0.0044 0.7500 0.0112 1
Rh3 0.2500 0.0003 0.5899 1
```

---

For Pu4GeAsS2, DFT lattice parameters and positions (PBE) gives the theoretical powder XRD pattern in this record (Cu Kα).
Neutral-atom scattering factors, no anomalous dispersion.

Top 8 peaks for 2θ from 15° to 90°, most intense first:
2θ = 31.22°, intensity 100, hkl 4 0 0; 2θ = 44.73°, intensity 50, hkl 2 2 2; 2θ = 26.81°, intensity 37, hkl 2 2 0; 2θ = 27.09°, intensity 36, hkl 0 0 2; 2θ = 73.96°, intensity 22, hkl 6 2 2; 2θ = 55.25°, intensity 13, hkl 4 4 0; 2θ = 55.87°, intensity 13, hkl 0 0 4; 2θ = 44.39°, intensity 13, hkl 0 4 0

Structural model:
```
data_Pu4GeAsS2
_chemical_formula_sum 'Pu16 Ge4 As4 S8'
_cell_length_a 14.0039
_cell_length_b 8.1634
_cell_length_c 8.0376
_cell_angle_alpha 90.00
_cell_angle_beta 125.01
_cell_angle_gamma 90.00
_symmetry_space_group_name_H-M 'C 1 m 1'
_symmetry_Int_Tables_number 8
loop_
_symmetry_equiv_pos_as_xyz
'x,y,z'
'x,-y,z'
'x+1/2,y+1/2,z'
'x+1/2,-y+1/2,z'
loop_
_atom_site_label
_atom_site_fract_x
_atom_site_fract_y
_atom_site_fract_z
_atom_site_occupancy
Pu1 0.0000 0.0000 0.0000 1
Pu2 0.0011 0.0000 0.5162 1
Pu3 0.0051 0.5000 0.5193 1
Pu4 0.0073 0.5000 0.0080 1
Pu5 0.2492 0.2616 0.0077 1
Pu6 0.2564 0.2607 0.5145 1
Ge1 0.2523 0.0000 0.7609 1
Ge2 0.2528 0.0000 0.2606 1
As1 0.0027 0.2497 0.2602 1
S1 0.0026 0.2505 0.7599 1
S2 0.2511 0.5000 0.2600 1
S3 0.2526 0.5000 0.7605 1
```

---

For RbGeAs2, DFT lattice parameters and positions (PBE) gives the theoretical powder XRD pattern in this record (Cu Kα).
Neutral-atom scattering factors, no anomalous dispersion.

Top 8 peaks for 2θ from 15° to 90°, most intense first:
2θ = 27.31°, intensity 100, hkl 2 1 1; 2θ = 33.82°, intensity 92, hkl 2 0 2; 2θ = 51.44°, intensity 47, hkl 4 0 2; 2θ = 30.49°, intensity 43, hkl 2 2 0; 2θ = 21.43°, intensity 38, hkl 2 0 0; 2θ = 46.49°, intensity 30, hkl 3 3 0; 2θ = 49.14°, intensity 28, hkl 4 2 0; 2θ = 40.39°, intensity 25, hkl 2 2 2

Structural model:
```
data_RbGeAs2
_chemical_formula_sum 'Rb4 Ge4 As8'
_cell_length_a 8.2919
_cell_length_b 8.2919
_cell_length_c 6.8936
_cell_angle_alpha 90.00
_cell_angle_beta 90.00
_cell_angle_gamma 90.00
_symmetry_space_group_name_H-M 'I 4/m c m'
_symmetry_Int_Tables_number 140
_symmetry_space_group_name_Hall '-I 4 2c'
loop_
_atom_site_label
_atom_site_fract_x
_atom_site_fract_y
_atom_site_fract_z
_atom_site_occupancy
Rb1 0.0000 0.0000 0.2500 1
Ge1 0.0000 0.5000 0.2500 1
As1 0.1529 0.3471 0.0000 1
```

---

For Rb2GeAs, DFT lattice parameters and positions (PBE) gives the theoretical powder XRD pattern in this record (Cu Kα).
Neutral-atom scattering factors, no anomalous dispersion.

Top 8 peaks for 2θ from 15° to 90°, most intense first:
2θ = 29.82°, intensity 100, hkl 2 2 2; 2θ = 29.66°, intensity 55, hkl 1 1 3; 2θ = 36.88°, intensity 43, hkl 3 3 1; 2θ = 51.92°, intensity 32, hkl 4 4 2; 2θ = 23.58°, intensity 18, hkl 2 2 0; 2θ = 33.42°, intensity 17, hkl 4 0 0; 2θ = 33.76°, intensity 17, hkl 0 4 0; 2θ = 36.47°, intensity 15, hkl 0 0 4

Structural model:
```
data_Rb2GeAs
_chemical_formula_sum 'Rb16 Ge8 As8'
_cell_length_a 10.7250
_cell_length_b 10.6204
_cell_length_c 9.8551
_cell_angle_alpha 90.00
_cell_angle_beta 90.00
_cell_angle_gamma 90.00
_symmetry_space_group_name_H-M 'C m c e'
_symmetry_Int_Tables_number 64
_symmetry_space_group_name_Hall '-C 2ac 2'
loop_
_atom_site_label
_atom_site_fract_x
_atom_site_fract_y
_atom_site_fract_z
_atom_site_occupancy
Rb1 0.0000 0.0008 0.1795 1
Rb2 0.2500 0.2495 0.7500 1
Ge1 0.0000 0.1656 0.5005 1
As1 0.1671 0.0000 0.5000 1
```

---

For RbGe6As8, DFT lattice parameters and positions (PBE) gives the theoretical powder XRD pattern in this record (Cu Kα).
Neutral-atom scattering factors, no anomalous dispersion.

Top 8 peaks for 2θ from 15° to 90°, most intense first:
2θ = 36.12°, intensity 100, hkl 3 -1 4; 2θ = 28.56°, intensity 58, hkl 3 -1 1; 2θ = 40.05°, intensity 49, hkl 1 2 5; 2θ = 24.83°, intensity 42, hkl 1 1 3; 2θ = 16.72°, intensity 39, hkl 0 0 3; 2θ = 49.53°, intensity 37, hkl 1 4 0; 2θ = 21.80°, intensity 30, hkl 0 2 1; 2θ = 54.39°, intensity 23, hkl 1 2 8

Structural model:
```
data_RbGe6As8
_chemical_formula_sum 'Rb3 Ge18 As24'
_cell_length_a 9.7384
_cell_length_b 9.7384
_cell_length_c 15.9028
_cell_angle_alpha 90.00
_cell_angle_beta 90.00
_cell_angle_gamma 120.00
_symmetry_space_group_name_H-M 'R -3'
_symmetry_Int_Tables_number 148
_symmetry_space_group_name_Hall '-R 3'
loop_
_atom_site_label
_atom_site_fract_x
_atom_site_fract_y
_atom_site_fract_z
_atom_site_occupancy
Rb1 0.0000 0.0000 0.0000 1
Ge1 0.9997 0.1909 0.3407 1
As1 0.0000 0.0000 0.2343 1
As2 0.0015 0.2412 0.5730 1
```

---

For Rb2TlGeAs2, DFT lattice parameters and positions (PBE) gives the theoretical powder XRD pattern in this record (Cu Kα).
Neutral-atom scattering factors, no anomalous dispersion.

Top 8 peaks for 2θ from 15° to 90°, most intense first:
2θ = 34.47°, intensity 100, hkl 2 0 2; 2θ = 29.43°, intensity 84, hkl 1 4 1; 2θ = 25.06°, intensity 74, hkl 2 2 0; 2θ = 32.65°, intensity 55, hkl 2 4 0; 2θ = 35.70°, intensity 49, hkl 0 4 2; 2θ = 28.84°, intensity 47, hkl 0 2 2; 2θ = 29.10°, intensity 36, hkl 1 1 2; 2θ = 33.82°, intensity 35, hkl 3 1 0

Structural model:
```
data_Rb2TlGeAs2
_chemical_formula_sum 'Rb8 Tl4 Ge4 As8'
_cell_length_a 8.0776
_cell_length_b 14.9417
_cell_length_c 6.8035
_cell_angle_alpha 90.00
_cell_angle_beta 90.00
_cell_angle_gamma 90.00
_symmetry_space_group_name_H-M 'I b a m'
_symmetry_Int_Tables_number 72
_symmetry_space_group_name_Hall '-I 2 2c'
loop_
_atom_site_label
_atom_site_fract_x
_atom_site_fract_y
_atom_site_fract_z
_atom_site_occupancy
Rb1 0.2209 0.1752 0.0000 1
Tl1 0.0000 0.5000 0.2500 1
Ge1 0.0000 0.0000 0.2500 1
As1 0.1894 0.0832 0.5000 1
```

---

For Rb2Zn3GeAs4, DFT lattice parameters and positions (PBE) gives the theoretical powder XRD pattern in this record (Cu Kα).
Neutral-atom scattering factors, no anomalous dispersion.

Top 8 peaks for 2θ from 15° to 90°, most intense first:
2θ = 27.96°, intensity 100, hkl 1 3 1; 2θ = 47.87°, intensity 52, hkl 2 6 0; 2θ = 32.75°, intensity 44, hkl 2 2 0; 2θ = 43.57°, intensity 41, hkl 2 0 2; 2θ = 52.57°, intensity 33, hkl 3 3 1; 2θ = 39.00°, intensity 28, hkl 2 4 0; 2θ = 67.41°, intensity 13, hkl 2 8 2; 2θ = 63.31°, intensity 13, hkl 4 0 0

Structural model:
```
data_Rb2Zn3GeAs4
_chemical_formula_sum 'Rb4 Zn6 Ge2 As8'
_cell_length_a 5.8773
_cell_length_b 14.9485
_cell_length_c 5.8741
_cell_angle_alpha 90.00
_cell_angle_beta 90.00
_cell_angle_gamma 90.00
_symmetry_space_group_name_H-M 'C 2 2 2'
_symmetry_Int_Tables_number 21
loop_
_symmetry_equiv_pos_as_xyz
'x,y,z'
'-x,-y,z'
'x,-y,-z'
'-x,y,-z'
'x+1/2,y+1/2,z'
'-x+1/2,-y+1/2,z'
'x+1/2,-y+1/2,-z'
'-x+1/2,y+1/2,-z'
loop_
_atom_site_label
_atom_site_fract_x
_atom_site_fract_y
_atom_site_fract_z
_atom_site_occupancy
Rb1 0.2500 0.2500 0.2492 1
Zn1 0.0000 0.0000 0.0000 1
Zn2 0.0000 0.0000 0.5000 1
Zn3 0.0000 0.5000 0.5000 1
Ge1 0.0000 0.5000 0.0000 1
As1 0.2425 0.3971 0.7572 1
```

---

For GeAsRh3, DFT lattice parameters and positions (PBE) gives the theoretical powder XRD pattern in this record (Cu Kα).
Neutral-atom scattering factors, no anomalous dispersion.

Top 8 peaks for 2θ from 15° to 90°, most intense first:
2θ = 43.33°, intensity 100, hkl 1 3 0; 2θ = 38.77°, intensity 84, hkl 1 0 2; 2θ = 40.75°, intensity 73, hkl 1 1 2; 2θ = 45.44°, intensity 64, hkl 2 0 0; 2θ = 46.28°, intensity 44, hkl 1 3 1; 2θ = 36.78°, intensity 42, hkl 1 2 1; 2θ = 40.01°, intensity 38, hkl 0 2 2; 2θ = 48.99°, intensity 30, hkl 0 3 2

Structural model:
```
data_GeAsRh3
_chemical_formula_sum 'Ge2 As2 Rh6'
_cell_length_a 3.9917
_cell_length_b 7.3496
_cell_length_c 5.7110
_cell_angle_alpha 90.00
_cell_angle_beta 90.00
_cell_angle_gamma 90.00
_symmetry_space_group_name_H-M 'P m c 21'
_symmetry_Int_Tables_number 26
loop_
_symmetry_equiv_pos_as_xyz
'x,y,z'
'-x,-y,z+1/2'
'-x,y,z'
'x,-y,z+1/2'
loop_
_atom_site_label
_atom_site_fract_x
_atom_site_fract_y
_atom_site_fract_z
_atom_site_occupancy
Ge1 0.0000 0.1505 0.0000 1
As1 0.5000 0.3603 0.5509 1
Rh1 0.0000 0.1847 0.4400 1
Rh2 0.5000 0.0599 0.7508 1
Rh3 0.5000 0.3203 0.1313 1
```

---

Q: Number 4 is which compound?
A: Rb2GeAs